Entry 1:
The following is a calculated powder diffraction line list of K2SrInH. It was derived from a DFT-relaxed cell (GGA-PBE, Alexandria), using Cu Kα X-rays.

Structure:
```
K2SrInH
1.0
5.486 0.000 0.000
0.000 5.486 0.000
0.000 0.000 5.426
K Sr In H
2 1 1 1
Cartesian
0.000 2.743 0.000 K
2.743 0.000 0.000 K
0.000 0.000 2.713 Sr
2.743 2.743 2.713 In
0.000 0.000 0.000 H
```

Largest 10 diffraction maxima, low angle first, 2θ from 5° to 70°:
| d (Å) | I (rel.) | h k l |
| --- | --- | --- |
| 5.426 | 16 | 0 0 1 |
| 3.879 | 15 | 1 1 0 |
| 3.156 | 100 | 1 1 1 |
| 2.743 | 35 | 2 0 0 |
| 2.713 | 17 | 0 0 2 |
| 1.940 | 12 | 2 2 0 |
| 1.929 | 24 | 2 0 2 |
| 1.653 | 28 | 3 1 1 |
| 1.639 | 13 | 1 1 3 |
| 1.578 | 12 | 2 2 2 |

***

Entry 2:
The following is a calculated powder diffraction line list of LaInH. It was derived from a DFT-relaxed cell (GGA-PBE, Alexandria), using Cu Kα X-rays.

Structure:
```
LaInH
1.0
4.519 0.000 0.000
0.000 17.651 0.000
0.000 0.000 6.681
La In H
8 8 8
Cartesian
1.130 1.449 0.783 La
1.130 7.377 0.783 La
1.130 11.453 2.444 La
1.130 15.024 2.444 La
3.389 2.628 4.237 La
3.389 6.198 4.237 La
3.389 10.275 5.898 La
3.389 16.202 5.898 La
1.130 0.302 4.224 In
1.130 4.413 5.895 In
1.130 8.523 4.224 In
1.130 13.238 5.553 In
3.389 4.413 1.128 In
3.389 9.128 2.457 In
3.389 13.238 0.786 In
3.389 17.349 2.457 In
1.130 2.119 3.184 H
1.130 6.707 3.184 H
1.130 9.849 0.330 H
1.130 16.628 0.330 H
3.389 1.023 6.351 H
3.389 7.803 6.351 H
3.389 10.944 3.497 H
3.389 15.532 3.497 H
```

Largest 10 diffraction maxima, low angle first, 2θ from 5° to 70°:
| d (Å) | I (rel.) | h k l |
| --- | --- | --- |
| 3.662 | 35 | 1 1 1 |
| 3.282 | 26 | 0 1 2 |
| 2.905 | 30 | 0 3 2 |
| 2.855 | 100 | 1 4 1 |
| 2.782 | 38 | 1 5 0 |
| 2.692 | 46 | 0 6 1 |
| 2.570 | 97 | 1 2 2 |
| 2.260 | 38 | 2 0 0 |
| 1.731 | 24 | 2 6 1 |
| 1.475 | 26 | 1 10 2 |